GaMo2C: computed powder X-ray diffraction pattern (Cu Ka), based on a structure optimized by DFT (GGA-PBE).
Kinematic intensities with the Lorentz-polarization factor, no thermal factor.

Cell and atoms:
abc: 3.0627 3.0627 13.2405
angles: 90.00 90.00 120.00
Space group P6_3/mmc (No. 194)
Symmetry-distinct sites (fractional):
Ga 0.3333 0.6667 0.2500 [2 per cell]
Mo 0.3333 0.6667 0.5893 [4 per cell]
C 0.0000 0.0000 0.0000 [2 per cell]

The 12 most intense peaks (2θ = 10–90°), by angle:
6.620 Å, I = 3, (0 0 2)
2.652 Å, I = 22, (1 0 0)
2.273 Å, I = 100, (1 0 3)
2.207 Å, I = 18, (0 0 6)
1.696 Å, I = 14, (1 0 6)
1.531 Å, I = 20, (1 1 0)
1.326 Å, I = 3, (2 0 0)
1.287 Å, I = 14, (1 0 9)
1.270 Å, I = 15, (2 0 3)
1.258 Å, I = 18, (1 1 6)
1.137 Å, I = 4, (2 0 6)
1.103 Å, I = 2, (0 0 12)

=====

LiAg3: computed powder X-ray diffraction pattern (Cu Ka), based on a structure optimized by DFT (GGA-PBE).
Kinematic intensities with the Lorentz-polarization factor, no thermal factor.

Cell and atoms:
abc: 4.099 4.099 8.271
angles: 90.00 90.00 90.00
Space group I4/mmm (No. 139)
Symmetry-distinct sites (fractional):
Li 0.000 0.000 0.000 [2 per cell]
Ag 0.000 0.000 0.500 [2 per cell]
Ag 0.000 0.500 0.250 [4 per cell]

The 12 most intense peaks (2θ = 10–90°), by angle:
4.136 Å, I = 11, (0 0 2)
3.673 Å, I = 32, (1 0 1)
2.898 Å, I = 9, (1 1 0)
2.374 Å, I = 100, (1 1 2)
2.288 Å, I = 9, (1 0 3)
2.068 Å, I = 16, (0 0 4)
2.050 Å, I = 32, (2 0 0)
1.456 Å, I = 20, (2 0 4)
1.449 Å, I = 10, (2 2 0)
1.245 Å, I = 12, (1 1 6)
1.237 Å, I = 23, (3 1 2)
1.187 Å, I = 10, (2 2 4)

=====

K2Sb9PbSe15: computed powder X-ray diffraction pattern (Cu Ka), based on a structure optimized by DFT (GGA-PBE).
Kinematic intensities with the Lorentz-polarization factor, no thermal factor.

Cell and atoms:
abc: 17.321 4.225 22.299
angles: 90.00 99.11 90.00
Space group P2_1/m (No. 11)
Symmetry-distinct sites (fractional):
K 0.004 0.250 0.127 [2 per cell]
K 0.284 0.250 0.194 [2 per cell]
Sb 0.044 0.750 0.339 [2 per cell]
Sb 0.110 0.250 0.534 [2 per cell]
Sb 0.171 0.750 0.032 [2 per cell]
Sb 0.257 0.250 0.391 [2 per cell]
Sb 0.304 0.250 0.889 [2 per cell]
Sb 0.316 0.750 0.553 [2 per cell]
Sb 0.427 0.750 0.061 [2 per cell]
Sb 0.445 0.750 0.794 [2 per cell]
Sb 0.465 0.750 0.409 [2 per cell]
Pb 0.174 0.750 0.732 [2 per cell]
Se 0.042 0.750 0.588 [2 per cell]
Se 0.064 0.250 0.758 [2 per cell]
Se 0.076 0.250 0.994 [2 per cell]
Se 0.122 0.250 0.295 [2 per cell]
Se 0.152 0.750 0.142 [2 per cell]
Se 0.185 0.750 0.460 [2 per cell]
Se 0.198 0.750 0.866 [2 per cell]
Se 0.244 0.250 0.614 [2 per cell]
Se 0.324 0.250 0.043 [2 per cell]
Se 0.325 0.750 0.330 [2 per cell]
Se 0.326 0.250 0.772 [2 per cell]
Se 0.390 0.250 0.488 [2 per cell]
Se 0.435 0.750 0.911 [2 per cell]
Se 0.437 0.750 0.182 [2 per cell]
Se 0.470 0.750 0.646 [2 per cell]

The 12 most intense peaks (2θ = 10–90°), by angle:
7.168 Å, I = 34, (1 0 -3)
3.198 Å, I = 49, (3 1 -3)
3.184 Å, I = 42, (1 0 -7)
3.144 Å, I = 41, (4 0 4)
3.019 Å, I = 82, (3 1 -4)
3.005 Å, I = 71, (4 1 0)
2.977 Å, I = 27, (3 1 3)
2.934 Å, I = 31, (4 1 1)
2.850 Å, I = 24, (4 0 5)
2.820 Å, I = 29, (3 1 -5)
2.166 Å, I = 27, (5 1 -7)
2.114 Å, I = 100, (0 2 0)